1.
Structure and theoretical X-ray diffraction stick pattern of LaCe2In6 (the GGA-PBE geometry in Alexandria; copper Kα).
Kinematic intensities with the Lorentz-polarization factor, no thermal factor.

```
data_LaCe2In6
_chemical_formula_sum 'La1 Ce2 In6'
_cell_length_a 8.8071
_cell_length_b 8.8071
_cell_length_c 3.6525
_cell_angle_alpha 90.00
_cell_angle_beta 90.00
_cell_angle_gamma 120.00
_symmetry_space_group_name_H-M 'P 6/m m m'
_symmetry_Int_Tables_number 191
_symmetry_space_group_name_Hall '-P 6 2'
loop_
_atom_site_label
_atom_site_type_symbol
_atom_site_fract_x
_atom_site_fract_y
_atom_site_fract_z
La1 La 0.0000 0.0000 0.0000
Ce1 Ce 0.3333 0.6667 0.0000
In1 In 0.0000 0.3350 0.5000
```

Largest 10 diffraction maxima, in order of falling intensity, 2θ from 10° to 90°:
31.83 deg, d = 2.811 Å, rel. 100, (1 1 1)
35.30 deg, d = 2.542 Å, rel. 80, (3 0 0)
48.26 deg, d = 1.886 Å, rel. 31, (2 2 1)
61.20 deg, d = 1.515 Å, rel. 30, (4 1 1)
62.63 deg, d = 1.483 Å, rel. 29, (3 0 2)
63.36 deg, d = 1.468 Å, rel. 14, (3 3 0)
84.73 deg, d = 1.144 Å, rel. 13, (3 3 2)
83.45 deg, d = 1.158 Å, rel. 12, (5 2 1)
49.94 deg, d = 1.826 Å, rel. 10, (0 0 2)
74.67 deg, d = 1.271 Å, rel. 9, (6 0 0)

2.
Structure and theoretical X-ray diffraction stick pattern of Ga4I2Br5 (the GGA-PBE geometry in Alexandria; copper Kα).
Kinematic intensities with the Lorentz-polarization factor, no thermal factor.

```
data_Ga4I2Br5
_chemical_formula_sum 'Ga4 I2 Br5'
_cell_length_a 7.485
_cell_length_b 7.533
_cell_length_c 8.471
_cell_angle_alpha 100.51
_cell_angle_beta 103.89
_cell_angle_gamma 97.10
_symmetry_space_group_name_H-M 'P 1'
_symmetry_Int_Tables_number 1
_symmetry_space_group_name_Hall 'P 1'
loop_
_atom_site_label
_atom_site_type_symbol
_atom_site_fract_x
_atom_site_fract_y
_atom_site_fract_z
Ga1 Ga 0.000 0.000 0.000
Ga2 Ga 0.078 0.977 0.734
Ga3 Ga 0.577 0.142 0.135
Ga4 Ga 0.797 0.450 0.665
I1 I 0.410 0.207 0.812
I2 I 0.706 0.781 0.017
Br1 Br 0.120 0.683 0.598
Br2 Br 0.267 0.937 0.198
Br3 Br 0.569 0.429 0.345
Br4 Br 0.887 0.099 0.520
Br5 Br 0.942 0.300 0.111
```

Largest 10 diffraction maxima, in order of falling intensity, 2θ from 10° to 90°:
28.16 deg, d = 3.168 Å, rel. 100, (2 1 -1)
28.58 deg, d = 3.123 Å, rel. 98, (-1 2 1)
42.31 deg, d = 2.136 Å, rel. 78, (3 0 1)
27.86 deg, d = 3.203 Å, rel. 76, (1 -1 2)
22.30 deg, d = 3.986 Å, rel. 74, (1 0 -2)
12.14 deg, d = 7.292 Å, rel. 58, (0 1 0)
15.76 deg, d = 5.623 Å, rel. 34, (1 -1 0)
41.27 deg, d = 2.188 Å, rel. 33, (1 3 0)
11.03 deg, d = 8.021 Å, rel. 31, (0 0 1)
25.75 deg, d = 3.460 Å, rel. 30, (2 -1 0)

3.
Structure and theoretical X-ray diffraction stick pattern of MnZnIn2Br6 (the GGA-PBE geometry in Alexandria; copper Kα).
Kinematic intensities with the Lorentz-polarization factor, no thermal factor.

```
data_MnZnIn2Br6
_chemical_formula_sum 'Mn1 Zn1 In2 Br6'
_cell_length_a 6.920
_cell_length_b 8.155
_cell_length_c 8.169
_cell_angle_alpha 64.22
_cell_angle_beta 71.92
_cell_angle_gamma 71.02
_symmetry_space_group_name_H-M 'P 1'
_symmetry_Int_Tables_number 1
_symmetry_space_group_name_Hall 'P 1'
loop_
_atom_site_label
_atom_site_type_symbol
_atom_site_fract_x
_atom_site_fract_y
_atom_site_fract_z
Mn1 Mn 0.000 0.000 0.000
Zn1 Zn 0.496 0.257 0.745
In1 In 0.409 0.126 0.344
In2 In 0.900 0.591 0.878
Br1 Br 0.360 0.441 0.468
Br2 Br 0.377 0.434 0.945
Br3 Br 0.394 0.949 0.895
Br4 Br 0.866 0.716 0.186
Br5 Br 0.880 0.196 0.191
Br6 Br 0.882 0.161 0.690
```

Largest 10 diffraction maxima, in order of falling intensity, 2θ from 10° to 90°:
27.83 deg, d = 3.206 Å, rel. 100, (2 0 0)
12.33 deg, d = 7.181 Å, rel. 44, (0 1 0)
25.66 deg, d = 3.471 Å, rel. 25, (1 2 0)
25.84 deg, d = 3.448 Å, rel. 25, (1 0 2)
31.19 deg, d = 2.867 Å, rel. 21, (2 2 2)
22.67 deg, d = 3.922 Å, rel. 18, (1 1 2)
20.50 deg, d = 4.332 Å, rel. 15, (0 1 -1)
33.49 deg, d = 2.676 Å, rel. 14, (1 2 -1)
47.01 deg, d = 1.933 Å, rel. 13, (-2 2 2)
33.79 deg, d = 2.653 Å, rel. 10, (1 -1 2)

4.
Structure and theoretical X-ray diffraction stick pattern of La3AlTl3Te8 (the GGA-PBE geometry in Alexandria; copper Kα).
Kinematic intensities with the Lorentz-polarization factor, no thermal factor.

```
data_La3AlTl3Te8
_chemical_formula_sum 'La6 Al2 Tl6 Te16'
_cell_length_a 15.869
_cell_length_b 9.164
_cell_length_c 9.588
_cell_angle_alpha 90.00
_cell_angle_beta 123.42
_cell_angle_gamma 90.00
_symmetry_space_group_name_H-M 'C 1 2/m 1'
_symmetry_Int_Tables_number 12
_symmetry_space_group_name_Hall '-C 2y'
loop_
_atom_site_label
_atom_site_type_symbol
_atom_site_fract_x
_atom_site_fract_y
_atom_site_fract_z
La1 La 0.000 0.000 0.000
La2 La 0.250 0.250 0.000
Al1 Al 0.000 0.500 0.000
Tl1 Tl 0.000 0.500 0.500
Tl2 Tl 0.250 0.250 0.500
Te1 Te 0.006 0.277 0.795
Te2 Te 0.217 0.500 0.205
Te3 Te 0.242 0.000 0.226
```

Largest 10 diffraction maxima, in order of falling intensity, 2θ from 10° to 90°:
26.94 deg, d = 3.310 Å, rel. 100, (4 0 0)
39.33 deg, d = 2.291 Å, rel. 36, (0 4 0)
37.58 deg, d = 2.393 Å, rel. 35, (2 2 2)
48.32 deg, d = 1.884 Å, rel. 18, (4 4 0)
63.99 deg, d = 1.455 Å, rel. 14, (10 2 -2)
61.54 deg, d = 1.507 Å, rel. 13, (6 2 2)
13.38 deg, d = 6.620 Å, rel. 11, (2 0 0)
55.53 deg, d = 1.655 Å, rel. 11, (8 0 0)
70.15 deg, d = 1.342 Å, rel. 10, (10 2 -6)
11.75 deg, d = 7.535 Å, rel. 8, (1 1 0)